Computed powder diffraction line list of K2PuS3 for Cu Kα X-rays, from a crystal structure in OQMD, relaxed with GGA-PBE.
No peak broadening, texture or thermal motion is included.

Structure:
Unit cell a=7.476 b=7.476 c=7.306 alpha=90.00 beta=90.00 gamma=68.51
Fractional positions:
K  0.004  0.329  0.250
K  0.329  0.004  0.750
K  0.671  0.996  0.250
K  0.996  0.671  0.750
Pu  0.412  0.588  0.250
Pu  0.588  0.412  0.750
S  0.117  0.883  0.250
S  0.357  0.357  0.000
S  0.357  0.357  0.500
S  0.643  0.643  0.000
S  0.643  0.643  0.500
S  0.883  0.117  0.750

Peak list (10 most intense, 2θ from 10° to 90°, by intensity)
| 2θ/deg | I_rel |
| --- | --- |
| 12.73 | 100 |
| 24.39 | 62 |
| 14.33 | 45 |
| 27.01 | 45 |
| 28.40 | 40 |
| 34.50 | 39 |
| 35.02 | 32 |
| 17.60 | 31 |
| 38.16 | 23 |
| 40.83 | 23 |

Computed powder diffraction line list of K2PuSeS2 for Cu Kα X-rays, from a crystal structure in OQMD, relaxed with GGA-PBE.
No peak broadening, texture or thermal motion is included.

Structure:
Unit cell a=6.015 b=7.357 c=9.087 alpha=107.99 beta=90.06 gamma=114.06
Fractional positions:
K  0.011  0.034  0.272
K  0.338  0.674  0.419
K  0.662  0.326  0.581
K  0.989  0.966  0.728
Pu  0.333  0.654  0.920
Pu  0.667  0.346  0.080
Se  0.498  0.007  0.200
Se  0.502  0.993  0.800
S  0.191  0.366  0.062
S  0.193  0.389  0.641
S  0.807  0.611  0.359
S  0.809  0.634  0.938

Peak list (10 most intense, 2θ from 10° to 90°, by intensity)
| 2θ/deg | I_rel |
| --- | --- |
| 10.35 | 100 |
| 28.90 | 95 |
| 41.92 | 67 |
| 18.03 | 59 |
| 29.70 | 52 |
| 16.32 | 40 |
| 24.55 | 27 |
| 37.74 | 26 |
| 50.34 | 23 |
| 25.82 | 19 |

Computed powder diffraction line list of K4PuSiSe6 for Cu Kα X-rays, from a crystal structure in OQMD, relaxed with GGA-PBE.
No peak broadening, texture or thermal motion is included.

Structure:
Unit cell a=7.033 b=7.767 c=8.869 alpha=75.23 beta=71.89 gamma=67.09
Fractional positions:
K  0.000  0.000  0.000
K  0.204  0.408  0.223
K  0.456  0.751  0.408
K  0.764  0.675  0.783
Pu  0.473  0.264  0.779
Si  0.751  0.143  0.415
Se  0.259  0.621  0.827
Se  0.400  0.153  0.541
Se  0.483  0.000  0.036
Se  0.743  0.370  0.198
Se  0.871  0.235  0.596
Se  0.939  0.837  0.389

Peak list (10 most intense, 2θ from 10° to 90°, by intensity)
| 2θ/deg | I_rel |
| --- | --- |
| 15.39 | 100 |
| 12.52 | 92 |
| 25.47 | 74 |
| 26.45 | 66 |
| 15.50 | 63 |
| 25.83 | 61 |
| 10.62 | 52 |
| 21.60 | 51 |
| 32.05 | 49 |
| 14.07 | 49 |

Computed powder diffraction line list of K2Rb2Re6S13 for Cu Kα X-rays, from a crystal structure in OQMD, relaxed with GGA-PBE.
No peak broadening, texture or thermal motion is included.

Structure:
Unit cell a=9.637 b=9.637 c=13.751 alpha=95.33 beta=95.33 gamma=118.19
Fractional positions:
K  0.187  0.229  0.296
K  0.229  0.187  0.796
K  0.771  0.813  0.204
K  0.813  0.771  0.704
Rb  0.166  0.406  0.589
Rb  0.406  0.166  0.089
Rb  0.594  0.834  0.911
Rb  0.834  0.594  0.411
Re  0.061  0.657  0.110
Re  0.081  0.656  0.921
Re  0.197  0.509  0.023
Re  0.343  0.939  0.390
Re  0.344  0.919  0.579
Re  0.491  0.803  0.477
Re  0.509  0.197  0.523
Re  0.656  0.081  0.421
Re  0.657  0.061  0.610
Re  0.803  0.491  0.977
Re  0.919  0.344  0.079
Re  0.939  0.343  0.890
S  0.052  0.218  0.994
S  0.129  0.871  0.250
S  0.130  0.783  0.674
S  0.163  0.507  0.194
S  0.200  0.509  0.846
S  0.205  0.688  0.450
S  0.217  0.870  0.826
S  0.218  0.052  0.494
S  0.312  0.795  0.050
S  0.463  0.531  0.065
S  0.469  0.537  0.435
S  0.491  0.800  0.654
S  0.493  0.837  0.306
S  0.507  0.163  0.694
S  0.509  0.200  0.346
S  0.531  0.463  0.565
S  0.537  0.469  0.935
S  0.688  0.205  0.950
S  0.782  0.948  0.506
S  0.783  0.130  0.174
S  0.795  0.312  0.550
S  0.800  0.491  0.154
S  0.837  0.493  0.806
S  0.870  0.217  0.326
S  0.871  0.129  0.750
S  0.948  0.782  0.006

Peak list (10 most intense, 2θ from 10° to 90°, by intensity)
| 2θ/deg | I_rel |
| --- | --- |
| 11.51 | 100 |
| 10.70 | 77 |
| 13.26 | 59 |
| 13.09 | 37 |
| 36.64 | 17 |
| 48.78 | 15 |
| 46.76 | 13 |
| 16.94 | 12 |
| 29.96 | 11 |
| 47.76 | 10 |

Computed powder diffraction line list of KRbWSe2S for Cu Kα X-rays, from a crystal structure in OQMD, relaxed with GGA-PBE.
No peak broadening, texture or thermal motion is included.

Structure:
Unit cell a=6.986 b=7.725 c=8.699 alpha=76.01 beta=70.14 gamma=66.25
Fractional positions:
K  0.097  0.194  0.133
K  0.903  0.806  0.867
Rb  0.336  0.568  0.308
Rb  0.664  0.432  0.692
W  0.378  0.053  0.661
W  0.622  0.947  0.339
Se  0.172  0.373  0.728
Se  0.370  0.830  0.906
Se  0.630  0.170  0.094
Se  0.828  0.627  0.272
S  0.270  0.972  0.476
S  0.730  0.028  0.524

Peak list (10 most intense, 2θ from 10° to 90°, by intensity)
| 2θ/deg | I_rel |
| --- | --- |
| 15.48 | 100 |
| 25.59 | 64 |
| 14.40 | 35 |
| 12.61 | 28 |
| 26.41 | 27 |
| 26.67 | 26 |
| 41.45 | 20 |
| 29.64 | 19 |
| 44.71 | 16 |
| 10.90 | 15 |

Computed powder diffraction line list of K2Rb2ZnSb2 for Cu Kα X-rays, from a crystal structure in OQMD, relaxed with GGA-PBE.
No peak broadening, texture or thermal motion is included.

Structure:
Unit cell a=10.587 b=10.587 c=10.587 alpha=33.63 beta=33.63 gamma=33.63
Fractional positions:
K  0.120  0.120  0.120
K  0.880  0.880  0.880
Rb  0.291  0.291  0.291
Rb  0.709  0.709  0.709
Zn  0.500  0.500  0.500
Sb  0.416  0.416  0.416
Sb  0.584  0.584  0.584

Peak list (10 most intense, 2θ from 10° to 90°, by intensity)
| 2θ/deg | I_rel |
| --- | --- |
| 29.16 | 100 |
| 16.97 | 79 |
| 26.78 | 49 |
| 34.38 | 41 |
| 55.14 | 21 |
| 45.72 | 20 |
| 40.00 | 20 |
| 51.70 | 19 |
| 50.26 | 16 |
| 33.93 | 14 |